Diffraction record for K5Rb5Tl2. The powder diffractogram is calculated, not measured: it uses a DFT-relaxed cell (PBE, Alexandria) and Cu Kα (λ = 1.5418 Å).

Principal peaks in the range 10 to 90 degrees two-theta, by angle:
two_theta	I (rel.)
14.28	55
23.53	63
24.20	53
24.63	100
25.69	47
26.93	39
29.33	53
35.68	42

Crystal structure
abc: 10.9835 10.9835 14.7256
angles: 121.16 121.16 32.20
Element x y z (fractional)
1 K 0.0000 0.0000 0.0000
2 K 0.0566 0.0566 0.7311
3 K 0.2664 0.2664 0.2787
4 K 0.7336 0.7336 0.7213
5 K 0.9434 0.9434 0.2689
6 Rb 0.3323 0.3323 0.9854
7 Rb 0.3500 0.3500 0.6345
8 Rb 0.5000 0.5000 0.5000
9 Rb 0.6500 0.6500 0.3655
10 Rb 0.6677 0.6677 0.0146
11 Tl 0.1325 0.1325 0.5442
12 Tl 0.8675 0.8675 0.4558